(1)
Gd2ErCu4Sn4: computed PXRD pattern (a wavelength of 1.5418 Å), based on a structure optimized by DFT (GGA-PBE).
No peak broadening, texture or thermal motion is included.

Structural model:
```
data_Gd2ErCu4Sn4
_symmetry_space_group_name_H-M 'P 1'
_symmetry_Int_Tables_number 1
_symmetry_space_group_name_Hall 'P 1'
_cell_length_a 8.4401
_cell_length_b 8.4401
_cell_length_c 8.4401
_cell_angle_alpha 149.20
_cell_angle_beta 131.57
_cell_angle_gamma 58.50
loop_
_atom_site_label
_atom_site_type_symbol
_atom_site_fract_x
_atom_site_fract_y
_atom_site_fract_z
Gd1 Gd 0.1306 0.1306 0.0000
Gd2 Gd 0.8694 0.8694 0.0000
Er1 Er 0.5000 0.0000 0.5000
Cu1 Cu 0.1402 0.3285 0.8117
Cu2 Cu 0.4832 0.6715 0.8117
Cu3 Cu 0.5168 0.3285 0.1883
Cu4 Cu 0.8598 0.6715 0.1883
Sn1 Sn 0.2052 0.5000 0.7052
Sn2 Sn 0.2845 0.7845 0.5000
Sn3 Sn 0.7155 0.2155 0.5000
Sn4 Sn 0.7948 0.5000 0.2948
```

The 10 most intense peaks (2θ from 10° to 90°), by intensity:
| two_theta | I (rel.) |
| --- | --- |
| 33.26 | 100 |
| 34.07 | 96 |
| 40.23 | 43 |
| 33.05 | 30 |
| 45.21 | 25 |
| 43.32 | 22 |
| 68.46 | 21 |
| 36.61 | 17 |
| 76.51 | 16 |
| 60.60 | 16 |



(2)
Pr4CBr3Cl2: computed PXRD pattern (a wavelength of 1.5418 Å), based on a structure optimized by DFT (GGA-PBE).
No peak broadening, texture or thermal motion is included.

Structural model:
```
data_Pr4CBr3Cl2
_symmetry_space_group_name_H-M 'P 1'
_symmetry_Int_Tables_number 1
_symmetry_space_group_name_Hall 'P 1'
_cell_length_a 9.2150
_cell_length_b 9.2150
_cell_length_c 8.4956
_cell_angle_alpha 103.71
_cell_angle_beta 103.71
_cell_angle_gamma 24.93
loop_
_atom_site_label
_atom_site_type_symbol
_atom_site_fract_x
_atom_site_fract_y
_atom_site_fract_z
Pr1 Pr 0.0029 0.0029 0.2944
Pr2 Pr 0.3543 0.3543 0.4183
Pr3 Pr 0.6457 0.6457 0.5817
Pr4 Pr 0.9971 0.9971 0.7056
C1 C 0.5000 0.5000 0.5000
Br1 Br 0.1677 0.1677 0.8497
Br2 Br 0.5000 0.5000 0.0000
Br3 Br 0.8323 0.8323 0.1503
Cl1 Cl 0.1711 0.1711 0.3509
Cl2 Cl 0.8289 0.8289 0.6491
```

The 10 most intense peaks (2θ from 10° to 90°), by intensity:
| two_theta | I (rel.) |
| --- | --- |
| 30.79 | 100 |
| 30.70 | 80 |
| 10.73 | 34 |
| 43.95 | 30 |
| 44.17 | 29 |
| 10.13 | 29 |
| 34.13 | 26 |
| 27.83 | 24 |
| 55.99 | 21 |
| 20.59 | 20 |



(3)
Tl2Te3Pd: computed PXRD pattern (a wavelength of 1.5418 Å), based on a structure optimized by DFT (GGA-PBE).
No peak broadening, texture or thermal motion is included.

Structural model:
```
data_Tl2Te3Pd
_symmetry_space_group_name_H-M 'P 1'
_symmetry_Int_Tables_number 1
_symmetry_space_group_name_Hall 'P 1'
_cell_length_a 7.8157
_cell_length_b 4.2606
_cell_length_c 10.7493
_cell_angle_alpha 90.00
_cell_angle_beta 91.98
_cell_angle_gamma 90.00
loop_
_atom_site_label
_atom_site_type_symbol
_atom_site_fract_x
_atom_site_fract_y
_atom_site_fract_z
Tl1 Tl 0.0768 0.2500 0.1517
Tl2 Tl 0.2479 0.7500 0.4856
Tl3 Tl 0.7521 0.2500 0.5144
Tl4 Tl 0.9232 0.7500 0.8483
Te1 Te 0.1225 0.2500 0.6905
Te2 Te 0.3201 0.7500 0.9811
Te3 Te 0.4431 0.2500 0.2939
Te4 Te 0.5569 0.7500 0.7061
Te5 Te 0.6799 0.2500 0.0189
Te6 Te 0.8775 0.7500 0.3095
Pd1 Pd 0.4232 0.2500 0.8395
Pd2 Pd 0.5768 0.7500 0.1605
```

The 10 most intense peaks (2θ from 10° to 90°), by intensity:
| two_theta | I (rel.) |
| --- | --- |
| 28.86 | 100 |
| 28.72 | 48 |
| 40.61 | 32 |
| 41.73 | 32 |
| 42.43 | 20 |
| 52.05 | 19 |
| 40.08 | 14 |
| 34.96 | 11 |
| 59.79 | 9 |
| 69.39 | 8 |